[1]
Calculated X-ray diffraction stick pattern
Compound: CeScGa4
Radiation: Cu Kα (λ = 1.5418 Å)
Structure: a crystal structure in Alexandria, relaxed with PBE

Crystal structure
Cell: 4.3857 4.3857 7.1000 Å, 90.00 90.00 120.00°
Space group P6/mmm (No. 191)
Symmetry-distinct sites (fractional):
Ce: 0.0000 0.0000 0.0000
Sc: 0.0000 0.0000 0.5000
Ga: 0.3333 0.6667 0.2734

Principal peaks in the range 2θ = 15–90°, in order of rising 2θ:
Position (°2θ), d_spacing, I_rel, hkl
26.6, 3.349, 25, 1 0 1
34.6, 2.593, 100, 1 0 2
41.2, 2.193, 66, 1 1 0
54.8, 1.675, 26, 2 0 2
57.3, 1.608, 12, 1 1 3
67.9, 1.380, 23, 1 1 4
70.8, 1.331, 28, 2 1 2
75.0, 1.266, 11, 3 0 0

***

[2]
Calculated X-ray diffraction stick pattern
Compound: Cs4AcCl6
Radiation: Cu Kα (λ = 1.5418 Å)
Structure: a crystal structure in Alexandria, relaxed with PBE

Crystal structure
Cell: 10.2938 10.2938 10.6760 Å, 90.00 90.00 90.00°
Space group P4/mnc (No. 128)
Symmetry-distinct sites (fractional):
Cs: 0.1863 0.3137 0.2500
Ac: 0.0000 0.0000 0.0000
Cl: 0.0000 0.0000 0.2696
Cl: 0.0747 0.7292 0.0000

Principal peaks in the range 2θ = 15–90°, in order of rising 2θ:
Position (°2θ), d_spacing, I_rel, hkl
19.3, 4.604, 43, 2 1 0
24.0, 3.705, 78, 2 0 2
24.5, 3.639, 34, 2 2 0
25.6, 3.486, 100, 2 1 2
27.4, 3.257, 78, 3 1 0
36.0, 2.497, 33, 4 1 0
39.9, 2.261, 32, 4 1 2
43.9, 2.064, 33, 3 1 4

***

[3]
Calculated X-ray diffraction stick pattern
Compound: Pr4Tl5Cu2
Radiation: Cu Kα (λ = 1.5418 Å)
Structure: a crystal structure in Alexandria, relaxed with PBE

Crystal structure
Cell: 8.0775 3.8531 9.8194 Å, 90.00 93.26 90.00°
Space group P2/m (No. 10)
Symmetry-distinct sites (fractional):
Pr: 0.1967 0.0000 0.3516
Pr: 0.2247 0.0000 0.9226
Tl: 0.1462 0.5000 0.6403
Tl: 0.4470 0.5000 0.1634
Tl: 0.5000 0.5000 0.5000
Cu: 0.0694 0.5000 0.1216

Principal peaks in the range 2θ = 15–90°, in order of rising 2θ:
Position (°2θ), d_spacing, I_rel, hkl
30.1, 2.970, 64, 1 0 3
31.2, 2.869, 82, 1 1 -2
31.9, 2.804, 100, 1 1 2
32.1, 2.786, 89, 2 1 0
33.3, 2.688, 52, 3 0 0
33.8, 2.652, 43, 2 1 1
37.3, 2.413, 55, 3 0 -2
47.2, 1.927, 46, 0 2 0